This entry pairs a crystal structure of Rb4SiO4 with its simulated X-ray powder pattern. Radiation: Cu Kα (weighted mean of Kα1 and Kα2). Structure: a PBE-relaxed structure.

Main lines, sorted by position (2θ = 10–80°):
two_theta	I/Imax	(hkl)
27.7	19.4	1 2 0
28.7	100.0	3 1 -2
29.3	53.5	2 0 2
30.1	91.6	1 2 1
35.5	39.2	4 1 -1
35.7	53.5	1 1 -4
46.6	12.2	5 1 0
47.9	14.3	2 3 -3
52.4	19.5	3 2 3
52.5	15.7	4 0 -6

Crystal structure
Cell: 11.0058 6.7878 10.9264 Å, 90.00 112.39 90.00°
Atoms (fractional coordinates):
1 Rb 0.0649 0.0924 0.1993
2 Rb 0.0649 0.4076 0.6993
3 Rb 0.1553 0.6138 0.0824
4 Rb 0.1553 0.8862 0.5824
5 Rb 0.3689 0.6670 0.8904
6 Rb 0.3689 0.8330 0.3904
7 Rb 0.4226 0.1816 0.7936
8 Rb 0.4226 0.3184 0.2936
9 Rb 0.5774 0.6816 0.7064
10 Rb 0.5774 0.8184 0.2064
11 Rb 0.6311 0.1670 0.6096
12 Rb 0.6311 0.3330 0.1096
13 Rb 0.8447 0.1138 0.4176
14 Rb 0.8447 0.3862 0.9176
15 Rb 0.9351 0.5924 0.3007
16 Rb 0.9351 0.9076 0.8007
17 Si 0.2414 0.1304 0.9891
18 Si 0.2414 0.3696 0.4891
19 Si 0.7586 0.6304 0.5109
20 Si 0.7586 0.8696 0.0109
21 O 0.0976 0.2303 0.9732
22 O 0.0976 0.2697 0.4732
23 O 0.2200 0.0031 0.8510
24 O 0.2200 0.4969 0.3510
25 O 0.2987 0.5177 0.6225
26 O 0.2987 0.9823 0.1225
27 O 0.3506 0.1868 0.5086
28 O 0.3506 0.3132 0.0086
29 O 0.6494 0.6868 0.9914
30 O 0.6494 0.8132 0.4914
31 O 0.7013 0.0177 0.8775
32 O 0.7013 0.4823 0.3775
33 O 0.7800 0.5031 0.6490
34 O 0.7800 0.9969 0.1490
35 O 0.9024 0.7303 0.5268
36 O 0.9024 0.7697 0.0268